[1]
K3NaW2O8: simulated PXRD pattern (Cu Ka), based on a crystal structure in the Materials Project, relaxed with GGA+U.
Neutral-atom scattering factors, no anomalous dispersion.

Principal peaks in the range 10° ≤ 2θ ≤ 90°, sorted by position:
Position (°2θ)  d/Å  I/Imax
16.5  5.358  26
20.0  4.449  23
20.1  4.421  100
22.8  3.907  27
28.1  3.172  15
28.3  3.154  35
28.7  3.107  57
28.9  3.087  25
37.1  2.424  18
40.8  2.213  26

Structure:
```
28
Lattice="5.392 -3.087 0.000 5.392 3.087 0.000 -0.084 0.000 15.627" Properties=species:S:1:pos:R:3 pbc="T T T"
K 5.329 2.707 11.720
K 3.509 0.145 6.426
K 3.467 -0.145 14.240
K 7.233 0.145 1.387
K 7.191 -0.145 9.201
K 5.371 -2.707 3.907
Na 0.000 0.000 0.000
Na -0.042 0.000 7.813
W 3.648 0.140 2.129
W 3.606 -0.140 9.943
W 7.095 0.140 5.684
W 7.053 -0.140 13.498
O 2.001 0.274 1.397
O 4.524 1.705 1.919
O 1.959 -0.274 9.211
O 4.486 1.133 9.011
O 3.515 0.383 11.657
O 6.218 1.705 5.894
O 3.557 -0.383 3.844
O 6.173 1.133 14.430
O 4.528 -1.133 1.197
O 7.143 0.383 11.783
O 4.482 -1.705 9.733
O 7.186 -0.383 3.970
O 6.215 -1.133 6.616
O 8.742 0.274 6.416
O 6.176 -1.705 13.707
O 8.700 -0.274 14.229
```

=====

[2]
KNbV2O8: simulated PXRD pattern (Cu Ka), based on a crystal structure in the Materials Project, relaxed with GGA+U.
Neutral-atom scattering factors, no anomalous dispersion.

Principal peaks in the range 10° ≤ 2θ ≤ 90°, sorted by position:
Position (°2θ)  d/Å  I/Imax
11.7  7.559  41
15.5  5.726  43
18.6  4.759  32
19.5  4.551  39
23.5  3.778  63
25.7  3.469  80
28.4  3.146  100
30.1  2.970  79
31.5  2.841  56
54.3  1.689  33

Structure:
```
48
Lattice="15.202 0.000 0.000 0.000 5.682 0.000 0.000 0.000 8.707" Properties=species:S:1:pos:R:3 pbc="T T T"
K 1.910 1.421 0.442
K 5.691 4.262 4.795
K 9.511 1.421 3.912
K 13.292 4.262 8.266
Nb 1.769 4.262 6.008
Nb 5.832 1.421 1.654
Nb 9.370 4.262 7.053
Nb 13.432 1.421 2.700
V 0.441 4.262 2.529
V 3.234 1.421 4.244
V 4.367 4.262 8.597
V 7.160 1.421 6.883
V 8.042 4.262 1.824
V 10.835 1.421 0.110
V 11.968 4.262 4.464
V 14.761 1.421 6.178
O 0.548 0.006 6.694
O 0.548 2.835 6.694
O 0.785 4.262 4.251
O 1.824 4.262 1.640
O 2.032 1.421 3.126
O 2.804 4.262 7.694
O 3.033 2.881 5.233
O 3.033 5.643 5.233
O 4.568 0.039 0.880
O 4.568 2.802 0.880
O 4.797 1.421 3.340
O 5.568 4.262 7.480
O 5.777 1.421 5.994
O 6.816 1.421 8.605
O 7.053 2.848 2.340
O 7.053 5.676 2.340
O 8.149 0.006 6.367
O 8.149 2.835 6.367
O 8.386 4.262 0.103
O 9.425 4.262 2.713
O 9.633 1.421 1.228
O 10.405 4.262 5.367
O 10.634 2.881 7.828
O 10.634 5.643 7.828
O 12.169 0.039 3.474
O 12.169 2.802 3.474
O 12.398 1.421 1.014
O 13.169 4.262 5.582
O 13.378 1.421 7.067
O 14.417 1.421 4.456
O 14.654 2.848 2.013
O 14.654 5.676 2.013
```

=====

[3]
KNbWO7: simulated PXRD pattern (Cu Ka), based on a crystal structure in the Materials Project, relaxed with GGA+U.
Neutral-atom scattering factors, no anomalous dispersion.

Principal peaks in the range 10° ≤ 2θ ≤ 90°, sorted by position:
Position (°2θ)  d/Å  I/Imax
14.4  6.133  100
27.7  3.216  38
28.1  3.177  16
29.1  3.066  98
33.6  2.671  19
48.2  1.888  15
48.6  1.872  25
57.3  1.608  28
58.1  1.588  13
60.4  1.533  13

Structure:
```
20
Lattice="-3.775 3.779 5.252 3.775 -3.779 5.252 3.775 3.779 -5.252" Properties=species:S:1:pos:R:3 pbc="T T T"
K -1.888 1.889 2.626
K 1.888 1.889 2.626
Nb 0.000 0.000 0.000
Nb 0.000 3.779 0.000
W 1.888 1.889 -2.626
W 1.888 -1.889 2.626
O 1.382 -0.520 1.367
O 6.168 -0.520 1.367
O 3.775 1.889 -1.975
O 3.775 1.889 0.354
O 1.382 3.259 -1.367
O 2.393 -0.520 3.885
O 0.000 1.889 0.668
O 3.775 1.889 4.584
O 1.382 4.299 1.367
O 2.393 0.520 6.618
O 0.000 1.889 4.897
O 0.000 1.889 7.227
O -2.393 4.299 3.885
O 2.393 4.299 3.885
```